Starting from DFT lattice parameters and positions (PBE), the X-ray diffraction stick pattern of Ac4Co2Ni was simulated for Cu Kα (λ = 1.5418 Å).
No peak broadening, texture or thermal motion is included.

```
data_Ac4Co2Ni
_chemical_formula_sum 'Ac4 Co2 Ni1'
_cell_length_a 6.836
_cell_length_b 4.303
_cell_length_c 7.512
_cell_angle_alpha 90.00
_cell_angle_beta 102.71
_cell_angle_gamma 90.00
_symmetry_space_group_name_H-M 'P 1 2/m 1'
_symmetry_Int_Tables_number 10
_symmetry_space_group_name_Hall '-P 2y'
loop_
_atom_site_label
_atom_site_type_symbol
_atom_site_fract_x
_atom_site_fract_y
_atom_site_fract_z
_atom_site_occupancy
Ac1 Ac 0.080 0.000 0.252 1
Ac2 Ac 0.405 0.500 0.749 1
Co1 Co 0.335 0.000 0.002 1
Ni1 Ni 0.000 0.500 0.500 1
```

The 6 most intense peaks (2θ from 10° to 80°), by angle:
h k l	2theta	I (rel.)
0 0 2	24.3	63
1 1 0	24.6	99
2 0 -1	26.8	61
1 1 -2	32.7	100
1 1 2	37.0	70
3 1 -1	45.2	60